Computed powder X-ray diffraction pattern of Er3Tm4Bi4 for a wavelength of 1.5418 Å, from DFT lattice parameters and positions (PBE).
Neutral-atom scattering factors, no anomalous dispersion.

Most intense lines, 2θ = 10–90°, by intensity:
- (2 1 3), d = 2.750 Å, 2θ 32.56, I = 100
- (4 0 0), d = 2.460 Å, 2θ 36.52, I = 19
- (0 0 6), d = 2.593 Å, 2θ 34.59, I = 17
- (6 1 3), d = 1.470 Å, 2θ 63.25, I = 14
- (0 2 0), d = 2.157 Å, 2θ 41.88, I = 14
- (4 0 6), d = 1.785 Å, 2θ 51.18, I = 11
- (2 3 3), d = 1.334 Å, 2θ 70.61, I = 11
- (4 2 0), d = 1.622 Å, 2θ 56.76, I = 11

Cell and atoms:
```
data_Er3Tm4Bi4
_cell_length_a 9.8405
_cell_length_b 4.3144
_cell_length_c 15.5581
_cell_angle_alpha 90.00
_cell_angle_beta 90.00
_cell_angle_gamma 90.00
_symmetry_space_group_name_H-M 'A m m 2'
_symmetry_Int_Tables_number 38
_symmetry_space_group_name_Hall 'A 2 -2'
loop_
_atom_site_label
_atom_site_type_symbol
_atom_site_fract_x
_atom_site_fract_y
_atom_site_fract_z
_atom_site_occupancy
Er1 Er 0.0000 0.0000 0.0000 1
Er2 Er 0.2677 0.0000 0.1453 1
Tm1 Tm 0.0000 0.0000 0.3243 1
Tm2 Tm 0.2471 0.0000 0.8302 1
Tm3 Tm 0.5000 0.0000 0.3460 1
Bi1 Bi 0.0000 0.0000 0.6696 1
Bi2 Bi 0.2488 0.0000 0.4826 1
Bi3 Bi 0.5000 0.0000 0.6891 1
```